Diffraction record for Y2NiGe6. The XRD peak list is simulated, not measured: it uses a crystal structure in Alexandria, relaxed with PBE and Cu Kα X-rays.
Intensities are scaled so that the largest is 100.

Most intense lines, 5 to 70 degrees two-theta, most intense first:
| h k l | Position (°2θ) | I_rel |
| --- | --- | --- |
| 1 1 3 | 33.74 | 100 |
| 0 0 8 | 33.38 | 35 |
| 2 0 0 | 44.45 | 28 |
| 0 2 0 | 45.13 | 27 |
| 1 1 5 | 37.79 | 24 |
| 2 2 0 | 65.20 | 17 |
| 0 1 9 | 44.18 | 16 |
| 1 1 9 | 49.79 | 15 |

abc: 4.077 4.018 21.449
angles: 90.00 90.00 90.00
Space group Amm2 (No. 38)
Asymmetric unit:
Y 0.000 0.000 0.000 x2
Y 0.000 0.000 0.338 x2
Ni 0.500 0.000 0.559 x2
Ge 0.000 0.000 0.615 x2
Ge 0.000 0.000 0.732 x2
Ge 0.500 0.000 0.116 x2
Ge 0.500 0.000 0.234 x2
Ge 0.500 0.000 0.451 x2
Ge 0.500 0.000 0.877 x2

Diffraction record for Tb2Cd13. The XRD peak list is simulated, not measured: it uses a crystal structure in Alexandria, relaxed with PBE and Cu Kα X-rays.
Intensities are scaled so that the largest is 100.

Most intense lines, 5 to 70 degrees two-theta, most intense first:
| h k l | Position (°2θ) | I_rel |
| --- | --- | --- |
| 2 1 1 | 35.02 | 100 |
| 1 0 7 | 32.65 | 61 |
| 0 3 6 | 47.68 | 53 |
| 2 0 5 | 33.86 | 48 |
| 3 2 7 | 67.46 | 30 |
| 1 1 6 | 34.29 | 28 |
| 2 0 8 | 43.54 | 22 |
| 2 2 0 | 46.03 | 19 |

abc: 7.8872 7.8872 20.9591
angles: 90.00 90.00 120.00
Space group R-3m (No. 166, hexagonal axes)
Asymmetric unit:
Tb 0.0000 0.0000 0.1555 x6
Cd 0.0000 0.0000 0.0000 x3
Cd 0.0740 0.5370 0.3855 x18
Cd 0.0891 0.5445 0.2327 x18

Diffraction record for Pr2PdCl2. The XRD peak list is simulated, not measured: it uses a crystal structure in Alexandria, relaxed with PBE and Cu Kα X-rays.
Intensities are scaled so that the largest is 100.

Most intense lines, 5 to 70 degrees two-theta, most intense first:
| h k l | Position (°2θ) | I_rel |
| --- | --- | --- |
| 0 0 3 | 8.43 | 100 |
| 0 1 5 | 28.68 | 78 |
| 0 1 8 | 33.85 | 31 |
| 1 1 0 | 43.76 | 28 |
| 1 0 10 | 38.07 | 22 |
| 1 0 13 | 45.23 | 22 |
| 2 0 5 | 53.16 | 14 |
| 1 1 3 | 44.65 | 12 |

abc: 4.1370 4.1370 31.4496
angles: 90.00 90.00 120.00
Space group R-3m (No. 166, hexagonal axes)
Asymmetric unit:
Pr 0.0000 0.0000 0.1112 x6
Pd 0.0000 0.0000 0.5000 x3
Cl 0.0000 0.0000 0.2780 x6

Diffraction record for NpPd8Au2. The XRD peak list is simulated, not measured: it uses a crystal structure in Alexandria, relaxed with PBE and Cu Kα X-rays.
Intensities are scaled so that the largest is 100.

Most intense lines, 5 to 70 degrees two-theta, most intense first:
| h k l | Position (°2θ) | I_rel |
| --- | --- | --- |
| 2 2 -1 | 38.39 | 100 |
| 4 0 -2 | 38.11 | 61 |
| 3 1 1 | 34.26 | 46 |
| 1 1 2 | 40.33 | 44 |
| 4 2 0 | 43.55 | 34 |
| 4 0 1 | 35.99 | 23 |
| 8 2 -2 | 69.03 | 23 |
| 0 2 0 | 33.19 | 18 |

abc: 13.474 5.399 5.437
angles: 90.00 104.81 90.00
Space group C2/m (No. 12)
Asymmetric unit:
Np 0.000 0.000 0.000 x2
Pd 0.080 0.500 0.213 x4
Pd 0.090 0.254 0.682 x8
Pd 0.247 0.500 0.036 x4
Au 0.217 0.000 0.423 x4

Diffraction record for RbSr6. The XRD peak list is simulated, not measured: it uses a crystal structure in Alexandria, relaxed with PBE and Cu Kα X-rays.
Intensities are scaled so that the largest is 100.

Most intense lines, 5 to 70 degrees two-theta, most intense first:
| h k l | Position (°2θ) | I_rel |
| --- | --- | --- |
| 2 1 1 | 19.39 | 100 |
| 3 2 1 | 29.81 | 69 |
| 2 0 0 | 15.81 | 40 |
| 2 2 2 | 27.56 | 40 |
| 4 0 0 | 31.92 | 40 |
| 4 4 0 | 45.77 | 29 |
| 6 1 1 | 50.15 | 24 |
| 5 2 1 | 44.24 | 23 |

abc: 11.213 11.213 11.213
angles: 90.00 90.00 90.00
Space group Im-3m (No. 229)
Asymmetric unit:
Rb 0.000 0.000 0.000 x2
Sr 0.000 0.250 0.500 x12

Diffraction record for GaCoNi3. The XRD peak list is simulated, not measured: it uses a crystal structure in Alexandria, relaxed with PBE and Cu Kα X-rays.
Intensities are scaled so that the largest is 100.

Most intense lines, 5 to 70 degrees two-theta, most intense first:
| h k l | Position (°2θ) | I_rel |
| --- | --- | --- |
| 2 0 1 | 40.81 | 100 |
| 2 0 2 | 55.75 | 32 |
| 2 1 0 | 46.54 | 29 |
| 1 1 0 | 29.98 | 27 |
| 1 0 2 | 45.85 | 22 |
| 2 2 0 | 62.30 | 18 |
| 3 0 1 | 57.73 | 17 |
| 0 0 2 | 42.17 | 16 |

abc: 5.9614 5.9614 4.2860
angles: 90.00 90.00 120.00
Space group P6_3/mmc (No. 194)
Asymmetric unit:
Ga 0.3333 0.6667 0.2500 x2
Co 0.0000 0.0000 0.0000 x2
Ni 0.2011 0.4021 0.7500 x6

Diffraction record for PrEr2Tm3Bi6. The XRD peak list is simulated, not measured: it uses a crystal structure in Alexandria, relaxed with PBE and Cu Kα X-rays.
Intensities are scaled so that the largest is 100.

Most intense lines, 5 to 70 degrees two-theta, most intense first:
| h k l | Position (°2θ) | I_rel |
| --- | --- | --- |
| 1 1 -2 | 28.21 | 100 |
| 0 2 0 | 40.32 | 78 |
| 1 3 -2 | 66.04 | 37 |
| 6 2 0 | 49.94 | 28 |
| 2 2 -4 | 58.34 | 13 |
| 3 1 0 | 24.37 | 2 |
| 4 2 -2 | 47.67 | 1 |
| 3 3 0 | 64.16 | 1 |

abc: 19.491 4.475 8.947
angles: 90.00 103.21 90.00
Space group C2/m (No. 12)
Asymmetric unit:
Pr 0.000 0.000 0.000 x2
Er 0.168 0.500 0.333 x4
Tm 0.000 0.000 0.500 x2
Tm 0.165 0.500 0.832 x4
Bi 0.001 0.500 0.260 x4
Bi 0.166 0.000 0.583 x4
Bi 0.171 0.000 0.084 x4